[1]
The following is a calculated powder X-ray diffraction pattern of PrSI. It was derived from a cell relaxed with PBE, using CuKα.

Structure:
```
data_PrSI
_space_group_name_H-M_alt 'P b c a'
_space_group_IT_number 61
_cell_length_a 7.110
_cell_length_b 14.489
_cell_length_c 7.355
_cell_angle_alpha 90.00
_cell_angle_beta 90.00
_cell_angle_gamma 90.00
loop_
_space_group_symop_operation_xyz
'x,y,z'
'-x,-y,-z'
'-x+1/2,-y,z+1/2'
'x+1/2,y,-z+1/2'
'x+1/2,-y+1/2,-z'
'-x+1/2,y+1/2,z'
'-x,y+1/2,-z+1/2'
'x,-y+1/2,z+1/2'
loop_
_atom_site_label
_atom_site_type_symbol
_atom_site_fract_x
_atom_site_fract_y
_atom_site_fract_z
Pr1 Pr 0.242 0.084 0.030
S1 S 0.001 0.023 0.742
I1 I 0.182 0.700 0.406
```

The 6 most intense peaks (10 to 90 degrees two-theta), low angle first:
(hkl)	2theta	I_rel
1 2 1	21.3	23
0 0 2	24.2	21
2 0 0	25.1	33
1 2 2	30.0	29
1 4 1	30.2	100
2 0 2	35.1	29

---

[2]
The following is a calculated powder X-ray diffraction pattern of Pr3Si2S8I. It was derived from a cell relaxed with PBE, using CuKα.

Structure:
```
data_Pr3Si2S8I
_space_group_name_H-M_alt 'C 1 2/c 1'
_space_group_IT_number 15
_cell_length_a 16.102
_cell_length_b 7.915
_cell_length_c 10.936
_cell_angle_alpha 90.00
_cell_angle_beta 98.06
_cell_angle_gamma 90.00
loop_
_space_group_symop_operation_xyz
'x,y,z'
'-x,-y,-z'
'-x,y,-z+1/2'
'x,-y,z+1/2'
'x+1/2,y+1/2,z'
'-x+1/2,-y+1/2,-z'
'-x+1/2,y+1/2,-z+1/2'
'x+1/2,-y+1/2,z+1/2'
loop_
_atom_site_label
_atom_site_type_symbol
_atom_site_fract_x
_atom_site_fract_y
_atom_site_fract_z
Pr1 Pr 0.000 0.098 0.250
Pr2 Pr 0.199 0.377 0.681
Si1 Si 0.160 0.037 0.029
S1 S 0.069 0.153 0.543
S2 S 0.145 0.244 0.147
S3 S 0.150 0.099 0.839
S4 S 0.219 0.431 0.414
I1 I 0.000 0.487 0.750
```

The 6 most intense peaks (10 to 90 degrees two-theta), low angle first:
(hkl)	2theta	I_rel
0 0 2	16.4	100
0 2 1	23.9	68
4 0 -2	25.8	54
4 2 -1	32.1	77
4 0 -4	37.5	48
4 2 -3	38.6	40

---

[3]
The following is a calculated powder X-ray diffraction pattern of Pt3I8. It was derived from a cell relaxed with PBE, using CuKα.

Structure:
```
data_Pt3I8
_space_group_name_H-M_alt 'P 41 21 2'
_space_group_IT_number 92
_cell_length_a 12.008
_cell_length_b 12.008
_cell_length_c 11.094
_cell_angle_alpha 90.00
_cell_angle_beta 90.00
_cell_angle_gamma 90.00
loop_
_space_group_symop_operation_xyz
'x,y,z'
'-y+1/2,x+1/2,z+1/4'
'-x,-y,z+1/2'
'y+1/2,-x+1/2,z+3/4'
'x+1/2,-y+1/2,-z+3/4'
'-y,-x,-z+1/2'
'-x+1/2,y+1/2,-z+1/4'
'y,x,-z'
loop_
_atom_site_label
_atom_site_type_symbol
_atom_site_fract_x
_atom_site_fract_y
_atom_site_fract_z
Pt1 Pt 0.121 0.370 0.262
Pt2 Pt 0.126 0.126 0.500
I1 I 0.092 0.377 0.025
I2 I 0.102 0.874 0.023
I3 I 0.117 0.150 0.260
I4 I 0.130 0.355 0.498
```

The 6 most intense peaks (10 to 90 degrees two-theta), low angle first:
(hkl)	2theta	I_rel
2 0 1	16.8	87
4 0 0	29.8	100
0 0 4	32.3	40
4 4 0	42.6	32
4 0 4	44.5	57
4 4 4	54.4	27